# InSb3Pt12
Computed PXRD pattern, Cu Kα (λ = 1.5418 Å). Input: a DFT-relaxed cell (GGA-PBE, Alexandria).
Neutral-atom scattering factors, no anomalous dispersion.

Most intense lines, 15 to 90 degrees two-theta, by angle:
two_theta	I (rel.)
32.14	12.1
37.88	100.0
38.20	50.6
41.47	14.9
42.27	33.2
45.17	39.9
63.57	20.3
78.90	24.2

Crystal structure
a b c (Å): 5.6454 5.7115 17.3361
angles (deg): 90.00 99.34 90.00
Space group Cm (No. 8)
Inequivalent atoms, fractional coordinates:
In1 0.0000 0.0000 0.0000 x2
Sb1 0.1192 0.0000 0.2402 x2
Sb2 0.2450 0.0000 0.4932 x2
Sb3 0.3804 0.5000 0.7598 x2
Pt1 0.0009 0.5000 0.0018 x2
Pt2 0.1216 0.5000 0.2450 x2
Pt3 0.1904 0.2500 0.8803 x4
Pt4 0.2392 0.5000 0.4826 x2
Pt5 0.3093 0.2541 0.6234 x4
Pt6 0.3108 0.2500 0.1224 x4
Pt7 0.3799 0.0000 0.7601 x2
Pt8 0.4311 0.2501 0.3644 x4